(1)
Diffraction record for In2Te2MoO10. The PXRD pattern is calculated, not measured: it uses DFT lattice parameters and positions (GGA+U) and Cu Kα.

Structural model:
```
data_In2Te2MoO10
_chemical_formula_sum 'In8 Te8 Mo4 O40'
_cell_length_a 12.1682
_cell_length_b 5.4755
_cell_length_c 17.0419
_cell_angle_alpha 90.00
_cell_angle_beta 129.78
_cell_angle_gamma 90.00
_symmetry_space_group_name_H-M 'P 1 21/c 1'
_symmetry_Int_Tables_number 14
loop_
_symmetry_equiv_pos_as_xyz
'x,y,z'
'-x,-y,-z'
'-x,y+1/2,-z+1/2'
'x,-y+1/2,z+1/2'
loop_
_atom_site_label
_atom_site_fract_x
_atom_site_fract_y
_atom_site_fract_z
_atom_site_occupancy
In1 0.0261 0.2046 0.1815 1
In2 0.1863 0.7382 0.1256 1
Te1 0.1786 0.1919 0.4587 1
Te2 0.3806 0.2398 0.7555 1
Mo1 0.3214 0.7324 0.3867 1
O1 0.0103 0.1142 0.9125 1
O2 0.0806 0.0455 0.3224 1
O3 0.1033 0.5972 0.9783 1
O4 0.1842 0.5331 0.3723 1
O5 0.1991 0.0871 0.7110 1
O6 0.2552 0.5750 0.7742 1
O7 0.2773 0.0782 0.1293 1
O8 0.3831 0.5756 0.9906 1
O9 0.3926 0.5487 0.1967 1
O10 0.4634 0.5669 0.4105 1
```

Most intense lines, 10 to 90 degrees two-theta, by angle:
index  d_spacing  I (rel.)
1 0 -4  3.986  11
3 0 -2  3.964  11
1 1 -4  3.218  100
0 2 0  2.738  12
4 0 -6  2.653  12
2 1 2  2.633  11
4 2 -6  1.905  16
2 1 -8  1.874  9
1 3 -4  1.659  10
5 1 -10  1.623  8

=====

(2)
Diffraction record for Ba3MgV2O8. The PXRD pattern is calculated, not measured: it uses DFT lattice parameters and positions (GGA+U) and Cu Kα.

Structural model:
```
data_Ba3MgV2O8
_chemical_formula_sum 'Ba9 Mg3 V6 O24'
_cell_length_a 5.9128
_cell_length_b 5.9128
_cell_length_c 22.7372
_cell_angle_alpha 90.00
_cell_angle_beta 90.00
_cell_angle_gamma 120.00
_symmetry_space_group_name_H-M 'R -3 m'
_symmetry_Int_Tables_number 166
_symmetry_space_group_name_Hall '-R 3 2"'
loop_
_atom_site_label
_atom_site_fract_x
_atom_site_fract_y
_atom_site_fract_z
_atom_site_occupancy
Ba1 0.0000 0.0000 0.0000 1
Ba2 0.0000 0.0000 0.2040 1
Mg1 0.0000 0.0000 0.5000 1
V1 0.0000 0.0000 0.3933 1
O1 0.0000 0.0000 0.3161 1
O2 0.0255 0.5128 0.2301 1
```

Most intense lines, 10 to 90 degrees two-theta, by angle:
index  d_spacing  I (rel.)
0 1 5  3.400  94
1 1 0  2.956  100
0 2 4  2.333  25
2 0 5  2.231  39
1 0 10  2.078  36
1 2 5  1.781  27
3 0 0  1.707  19
0 2 10  1.700  17
2 2 0  1.478  17
2 1 10  1.474  25

=====

(3)
Diffraction record for SrMg6FeO8. The PXRD pattern is calculated, not measured: it uses DFT lattice parameters and positions (GGA+U) and Cu Kα.

Structural model:
```
data_SrMg6FeO8
_chemical_formula_sum 'Sr1 Mg6 Fe1 O8'
_cell_length_a 4.4687
_cell_length_b 4.4687
_cell_length_c 8.7953
_cell_angle_alpha 90.00
_cell_angle_beta 90.00
_cell_angle_gamma 90.00
_symmetry_space_group_name_H-M 'P 4/m m m'
_symmetry_Int_Tables_number 123
_symmetry_space_group_name_Hall '-P 4 2'
loop_
_atom_site_label
_atom_site_fract_x
_atom_site_fract_y
_atom_site_fract_z
_atom_site_occupancy
Sr1 0.0000 0.0000 0.0000 1
Mg1 0.0000 0.0000 0.5000 1
Mg2 0.0000 0.5000 0.2618 1
Mg3 0.5000 0.5000 0.5000 1
Fe1 0.5000 0.5000 0.0000 1
O1 0.0000 0.0000 0.2731 1
O2 0.0000 0.5000 0.0000 1
O3 0.0000 0.5000 0.5000 1
O4 0.5000 0.5000 0.2563 1
```

Most intense lines, 10 to 90 degrees two-theta, by angle:
index  d_spacing  I (rel.)
0 0 1  8.795  49
0 0 2  4.398  16
1 1 1  2.974  23
1 1 2  2.566  46
2 0 0  2.234  100
0 0 4  2.199  45
2 2 0  1.580  30
2 0 4  1.567  55
3 1 2  1.345  16
2 2 4  1.283  26